1.
Diffraction record for Sm5Y6Sc2. The XRD peak list is simulated, not measured: it uses the PBE geometry in Alexandria and Cu Kα (λ = 1.5418 Å).
Neutral-atom scattering factors, no anomalous dispersion.

Largest 12 diffraction maxima, low angle first, 10° ≤ 2θ ≤ 90°:
2theta, d_spacing, Rel. int., h k l
25.27, 3.524, 21, 0 0 1
27.77, 3.213, 70, 3 3 0
29.96, 2.982, 61, 0 4 1
32.09, 2.789, 100, 0 8 0
32.71, 2.738, 83, 2 3 1
34.45, 2.603, 22, 2 4 1
36.06, 2.491, 39, 3 1 1
36.56, 2.458, 27, 2 5 1
37.87, 2.376, 21, 3 3 1
51.84, 1.764, 36, 0 0 2
59.80, 1.547, 18, 3 3 2
62.29, 1.491, 29, 0 8 2

Atomic structure:
a = 10.6887 Å, b = 22.3372 Å, c = 3.5270 Å
α = 90.00°, β = 90.00°, γ = 90.00°
Space group Pbam (No. 55)
Inequivalent atoms, fractional coordinates:
Sm 0.0000 0.0000 0.0000
Sm 0.0863 0.2515 0.0000
Sm 0.1659 0.5103 0.0000
Y 0.0345 0.3876 0.5000
Y 0.1368 0.1175 0.5000
Y 0.1655 0.8601 0.0000
Sc 0.1639 0.7289 0.5000

=====

2.
Diffraction record for Sm8Y2Sc3. The XRD peak list is simulated, not measured: it uses the PBE geometry in Alexandria and Cu Kα (λ = 1.5418 Å).
Neutral-atom scattering factors, no anomalous dispersion.

Largest 12 diffraction maxima, low angle first, 10° ≤ 2θ ≤ 90°:
2theta, d_spacing, Rel. int., h k l
17.86, 4.965, 37, 0 4 0
25.15, 3.541, 22, 2 2 0
28.48, 3.134, 38, 2 0 1
30.05, 2.974, 47, 1 5 1
31.45, 2.845, 44, 0 6 1
32.14, 2.785, 50, 0 0 2
33.83, 2.650, 100, 2 4 1
37.01, 2.429, 12, 0 4 2
41.24, 2.189, 12, 2 2 2
58.38, 1.581, 20, 2 4 3
65.39, 1.427, 14, 3 9 2
68.32, 1.373, 14, 5 5 1

Atomic structure:
a = 7.5817 Å, b = 19.8540 Å, c = 5.5702 Å
α = 90.00°, β = 90.00°, γ = 90.00°
Space group Cmmm (No. 65)
Inequivalent atoms, fractional coordinates:
Sm 0.0000 0.1243 0.0000
Sm 0.0000 0.3320 0.0000
Sm 0.2053 0.3998 0.5000
Y 0.0000 0.2386 0.5000
Sc 0.0000 0.0000 0.5000
Sc 0.2058 0.5000 0.0000